Record 1
This entry pairs a crystal structure of BaNaZrF7 with its theoretical X-ray diffraction stick pattern. Radiation: copper Kα. Structure: a GGA-PBE-relaxed structure.
Lines closer than 0.1° are merged.

Peak list (8 most intense, 10 to 80 degrees two-theta, low angle first)
18.30°, d = 4.849 Å, I = 26; 20.06°, d = 4.425 Å, I = 25; 24.25°, d = 3.671 Å, I = 49; 25.37°, d = 3.511 Å, I = 27; 26.14°, d = 3.409 Å, I = 100; 30.01°, d = 2.978 Å, I = 38; 41.15°, d = 2.194 Å, I = 41; 46.53°, d = 1.952 Å, I = 33

Atomic structure:
a = 9.259 Å, b = 5.618 Å, c = 11.383 Å
α = 90.00°, β = 90.00°, γ = 90.00°
Fractional coordinates of all 40 atoms:
Ba1 0.030 0.250 0.173
Ba2 0.470 0.750 0.673
Ba3 0.530 0.250 0.327
Ba4 0.970 0.750 0.827
Na1 0.136 0.250 0.555
Na2 0.364 0.750 0.055
Na3 0.636 0.250 0.945
Na4 0.864 0.750 0.445
Zr1 0.248 0.750 0.361
Zr2 0.252 0.250 0.861
Zr3 0.748 0.750 0.139
Zr4 0.752 0.250 0.639
F1 0.023 0.250 0.831
F2 0.075 0.518 0.388
F3 0.075 0.982 0.388
F4 0.171 0.010 0.985
F5 0.171 0.490 0.985
F6 0.223 0.004 0.725
F7 0.223 0.496 0.725
F8 0.277 0.504 0.225
F9 0.277 0.996 0.225
F10 0.329 0.510 0.485
F11 0.329 0.990 0.485
F12 0.425 0.018 0.888
F13 0.425 0.482 0.888
F14 0.477 0.750 0.331
F15 0.523 0.250 0.669
F16 0.575 0.518 0.112
F17 0.575 0.982 0.112
F18 0.671 0.010 0.515
F19 0.671 0.490 0.515
F20 0.723 0.004 0.775
F21 0.723 0.496 0.775
F22 0.777 0.504 0.275
F23 0.777 0.996 0.275
F24 0.829 0.510 0.015
F25 0.829 0.990 0.015
F26 0.925 0.018 0.612
F27 0.925 0.482 0.612
F28 0.977 0.750 0.169

Record 2
This entry pairs a crystal structure of Ba2NbF6 with its theoretical X-ray diffraction stick pattern. Radiation: copper Kα. Structure: a GGA-PBE-relaxed structure.
Lines closer than 0.1° are merged.

Peak list (8 most intense, 10 to 80 degrees two-theta, low angle first)
22.38°, d = 3.972 Å, I = 100; 27.28°, d = 3.269 Å, I = 83; 31.86°, d = 2.808 Å, I = 22; 42.43°, d = 2.130 Å, I = 75; 45.69°, d = 1.986 Å, I = 17; 50.91°, d = 1.794 Å, I = 20; 51.45°, d = 1.776 Å, I = 15; 54.03°, d = 1.697 Å, I = 24

Atomic structure:
a = 5.617 Å, b = 5.617 Å, c = 12.061 Å
α = 90.00°, β = 90.00°, γ = 90.00°
Fractional coordinates of all 18 atoms:
Ba1 0.000 0.000 0.162
Ba2 0.000 0.000 0.838
Ba3 0.500 0.500 0.338
Ba4 0.500 0.500 0.662
Nb1 0.000 0.000 0.500
Nb2 0.500 0.500 0.000
F1 0.172 0.172 0.349
F2 0.172 0.172 0.651
F3 0.217 0.217 0.000
F4 0.283 0.717 0.500
F5 0.328 0.672 0.151
F6 0.328 0.672 0.849
F7 0.672 0.328 0.151
F8 0.672 0.328 0.849
F9 0.717 0.283 0.500
F10 0.783 0.783 0.000
F11 0.828 0.828 0.349
F12 0.828 0.828 0.651

Record 3
This entry pairs a crystal structure of Rb2BaNbF6 with its theoretical X-ray diffraction stick pattern. Radiation: copper Kα. Structure: a GGA-PBE-relaxed structure.
Lines closer than 0.1° are merged.

Peak list (8 most intense, 10 to 80 degrees two-theta, low angle first)
18.60°, d = 4.771 Å, I = 9; 26.42°, d = 3.374 Å, I = 100; 37.71°, d = 2.386 Å, I = 39; 46.63°, d = 1.948 Å, I = 42; 54.39°, d = 1.687 Å, I = 25; 61.45°, d = 1.509 Å, I = 19; 68.07°, d = 1.377 Å, I = 8; 74.39°, d = 1.275 Å, I = 22

Atomic structure:
a = 6.748 Å, b = 6.748 Å, c = 6.748 Å
α = 60.00°, β = 60.00°, γ = 60.00°
Fractional coordinates of all 10 atoms:
Rb1 0.250 0.250 0.250
Rb2 0.750 0.750 0.750
Ba1 0.000 0.000 0.000
Nb1 0.500 0.500 0.500
F1 0.267 0.267 0.733
F2 0.267 0.733 0.267
F3 0.267 0.733 0.733
F4 0.733 0.267 0.267
F5 0.733 0.267 0.733
F6 0.733 0.733 0.267

Record 4
This entry pairs a crystal structure of BaNb2Xe5F22 with its theoretical X-ray diffraction stick pattern. Radiation: copper Kα. Structure: a GGA-PBE-relaxed structure.
Lines closer than 0.1° are merged.

Peak list (8 most intense, 10 to 80 degrees two-theta, low angle first)
22.78°, d = 3.904 Å, I = 100; 24.99°, d = 3.564 Å, I = 31; 28.94°, d = 3.085 Å, I = 14; 38.60°, d = 2.332 Å, I = 22; 42.70°, d = 2.117 Å, I = 35; 46.53°, d = 1.952 Å, I = 15; 60.98°, d = 1.519 Å, I = 14; 65.97°, d = 1.416 Å, I = 16

Atomic structure:
a = 10.081 Å, b = 9.435 Å, c = 9.421 Å
α = 64.64°, β = 57.75°, γ = 57.61°
Fractional coordinates of all 30 atoms:
Ba1 0.000 0.000 0.000
Nb1 0.000 0.000 0.500
Nb2 0.500 0.500 0.000
Xe1 0.000 0.500 0.000
Xe2 0.000 0.500 0.500
Xe3 0.500 0.000 0.000
Xe4 0.500 0.000 0.500
Xe5 0.500 0.500 0.500
F1 0.040 0.960 0.291
F2 0.049 0.760 0.601
F3 0.059 0.302 0.698
F4 0.071 0.698 0.929
F5 0.240 0.951 0.410
F6 0.291 0.709 0.040
F7 0.302 0.059 0.941
F8 0.302 0.929 0.698
F9 0.355 0.355 0.645
F10 0.399 0.410 0.951
F11 0.410 0.399 0.240
F12 0.590 0.601 0.760
F13 0.601 0.590 0.049
F14 0.645 0.645 0.355
F15 0.698 0.071 0.302
F16 0.698 0.941 0.059
F17 0.709 0.291 0.960
F18 0.760 0.049 0.590
F19 0.929 0.302 0.071
F20 0.941 0.698 0.302
F21 0.951 0.240 0.399
F22 0.960 0.040 0.709

Record 5
This entry pairs a crystal structure of Ba4Nd3F17 with its theoretical X-ray diffraction stick pattern. Radiation: copper Kα. Structure: a GGA-PBE-relaxed structure.
Lines closer than 0.1° are merged.

Peak list (8 most intense, 10 to 80 degrees two-theta, low angle first)
25.17°, d = 3.538 Å, I = 51; 25.35°, d = 3.513 Å, I = 100; 25.54°, d = 3.488 Å, I = 47; 29.28°, d = 3.051 Å, I = 27; 29.40°, d = 3.038 Å, I = 52; 41.71°, d = 2.165 Å, I = 20; 41.98°, d = 2.152 Å, I = 40; 49.74°, d = 1.833 Å, I = 34

Atomic structure:
a = 9.575 Å, b = 9.584 Å, c = 9.643 Å
α = 73.20°, β = 72.82°, γ = 73.02°
Fractional coordinates of all 48 atoms:
Ba1 0.000 0.000 0.000
Ba2 0.041 0.630 0.788
Ba3 0.427 0.839 0.695
Ba4 0.470 0.470 0.470
Ba5 0.623 0.785 0.048
Ba6 0.677 0.423 0.849
Ba7 0.779 0.045 0.631
Ba8 0.844 0.679 0.421
Nd1 0.119 0.272 0.577
Nd2 0.199 0.895 0.346
Nd3 0.259 0.559 0.124
Nd4 0.336 0.213 0.908
Nd5 0.575 0.127 0.269
Nd6 0.913 0.349 0.195
F1 0.007 0.571 0.129
F2 0.067 0.287 0.967
F3 0.090 0.777 0.224
F4 0.133 0.045 0.522
F5 0.180 0.484 0.391
F6 0.187 0.757 0.911
F7 0.201 0.308 0.166
F8 0.225 0.093 0.775
F9 0.243 0.382 0.690
F10 0.272 0.998 0.084
F11 0.281 0.723 0.558
F12 0.335 0.460 0.905
F13 0.374 0.690 0.248
F14 0.383 0.197 0.472
F15 0.431 0.948 0.315
F16 0.470 0.650 0.957
F17 0.476 0.388 0.192
F18 0.514 0.000 0.829
F19 0.531 0.159 0.032
F20 0.554 0.281 0.716
F21 0.598 0.596 0.598
F22 0.647 0.947 0.477
F23 0.697 0.246 0.378
F24 0.714 0.557 0.282
F25 0.722 0.745 0.742
F26 0.752 0.913 0.189
F27 0.779 0.226 0.093
F28 0.813 0.523 0.994
F29 0.870 0.877 0.873
F30 0.907 0.189 0.753
F31 0.936 0.344 0.433
F32 0.940 0.480 0.657
F33 0.990 0.817 0.523
F34 0.992 0.084 0.275

Record 6
This entry pairs a crystal structure of Rb2BaNdF8 with its theoretical X-ray diffraction stick pattern. Radiation: copper Kα. Structure: a GGA-PBE-relaxed structure.
Lines closer than 0.1° are merged.

Peak list (8 most intense, 10 to 80 degrees two-theta, low angle first)
15.79°, d = 5.612 Å, I = 13; 24.71°, d = 3.603 Å, I = 100; 28.21°, d = 3.163 Å, I = 16; 40.32°, d = 2.237 Å, I = 22; 41.18°, d = 2.192 Å, I = 43; 47.87°, d = 1.900 Å, I = 32; 49.36°, d = 1.846 Å, I = 16; 65.56°, d = 1.424 Å, I = 13

Atomic structure:
a = 7.549 Å, b = 7.549 Å, c = 7.549 Å
α = 130.46°, β = 130.46°, γ = 72.67°
Fractional coordinates of all 12 atoms:
Rb1 0.000 0.000 0.000
Rb2 0.750 0.250 0.500
Ba1 0.500 0.500 0.000
Nd1 0.250 0.750 0.500
F1 0.158 0.094 0.521
F2 0.158 0.637 0.064
F3 0.363 0.427 0.521
F4 0.363 0.842 0.936
F5 0.573 0.094 0.936
F6 0.573 0.637 0.479
F7 0.906 0.427 0.064
F8 0.906 0.842 0.479